Simulated XRD peak list of Cs2BaCoO4 for Cu Kα, 1.54184 Å, from a DFT-relaxed cell (GGA+U, Alexandria).

Main lines, by angle (2θ from 10° to 90°):
2θ = 13.33°, I = 100.0, (0 0 4)
2θ = 18.71°, I = 27.1, (1 1 3)
2θ = 23.04°, I = 52.9, (1 1 5)
2θ = 24.61°, I = 61.1, (0 2 6)
2θ = 28.46°, I = 35.0, (0 4 0)
2θ = 30.71°, I = 46.8, (1 3 5)
2θ = 31.87°, I = 55.4, (2 2 0)
2θ = 34.68°, I = 24.8, (2 2 4)
2θ = 35.02°, I = 27.5, (2 0 6)
2θ = 36.74°, I = 35.3, (0 2 10)
2θ = 44.68°, I = 23.9, (2 0 10)
2θ = 45.73°, I = 26.7, (2 4 6)

Atomic structure:
```
data_Cs2BaCoO4
_symmetry_space_group_name_H-M 'F d d d'
_symmetry_Int_Tables_number 70
_cell_length_a 6.2820
_cell_length_b 12.5409
_cell_length_c 26.5638
_cell_angle_alpha 90.00
_cell_angle_beta 90.00
_cell_angle_gamma 90.00
loop_
_symmetry_equiv_pos_as_xyz
'x,y,z'
'-x,-y,-z'
'-x+1/4,-y+1/4,z'
'x+1/4,y+1/4,-z'
'x,-y+1/4,-z+1/4'
'-x,y+1/4,z+1/4'
'-x+1/4,y,-z+1/4'
'x+1/4,-y,z+1/4'
'x,y+1/2,z+1/2'
'-x,-y+1/2,-z+1/2'
'-x+1/4,-y+3/4,z+1/2'
'x+1/4,y+3/4,-z+1/2'
'x,-y+3/4,-z+3/4'
'-x,y+3/4,z+3/4'
'-x+1/4,y+1/2,-z+3/4'
'x+1/4,-y+1/2,z+3/4'
'x+1/2,y,z+1/2'
'-x+1/2,-y,-z+1/2'
'-x+3/4,-y+1/4,z+1/2'
'x+3/4,y+1/4,-z+1/2'
'x+1/2,-y+1/4,-z+3/4'
'-x+1/2,y+1/4,z+3/4'
'-x+3/4,y,-z+3/4'
'x+3/4,-y,z+3/4'
'x+1/2,y+1/2,z'
'-x+1/2,-y+1/2,-z'
'-x+3/4,-y+3/4,z'
'x+3/4,y+3/4,-z'
'x+1/2,-y+3/4,-z+1/4'
'-x+1/2,y+3/4,z+1/4'
'-x+3/4,y+1/2,-z+1/4'
'x+3/4,-y+1/2,z+1/4'
loop_
_atom_site_label
_atom_site_type_symbol
_atom_site_fract_x
_atom_site_fract_y
_atom_site_fract_z
_atom_site_occupancy
Cs1 Cs 0.1250 0.1250 0.3199 1
Ba1 Ba 0.1250 0.1250 0.1250 1
Co1 Co 0.1250 0.1250 0.6250 1
O1 O 0.0501 0.2861 0.8400 1
```